Simulated XRD peak list of K2TcCl4O2 for Cu Kα, 1.54184 Å, from a crystal structure in Alexandria, relaxed with PBE.
Peak positions follow from Bragg's law for the DFT cell and can differ from measured ones.

Largest 12 diffraction maxima, in order of rising 2θ, 10° ≤ 2θ ≤ 90°:
2θ 15.00, I = 56; 2θ 15.91, I = 48; 2θ 16.45, I = 32; 2θ 19.72, I = 22; 2θ 23.46, I = 60; 2θ 25.82, I = 27; 2θ 27.86, I = 35; 2θ 32.22, I = 100; 2θ 33.57, I = 21; 2θ 40.10, I = 24; 2θ 41.27, I = 33; 2θ 47.95, I = 26

```
9
Lattice="5.582 -3.530 0.000 5.582 3.530 0.000 -1.499 0.000 5.570" Properties=species:S:1:pos:R:3 pbc="T T T"
K 1.527 0.000 1.714
K 8.138 0.000 3.856
Tc 5.582 0.000 0.000
Cl 4.277 1.734 1.063
Cl 5.388 1.734 4.507
Cl 4.277 -1.734 1.063
Cl 5.388 -1.734 4.507
O 2.961 0.000 4.192
O 6.704 0.000 1.377
```